No. 1
For Dy4TeRh2, a crystal structure in Alexandria, relaxed with PBE gives the simulated XRD peak list in this record (a wavelength of 1.5418 Å).
Lines closer than 0.1° are merged.

Peak list (12 most intense, 10 to 80 degrees two-theta, low angle first)
| 2theta | I/Imax | hkl |
| --- | --- | --- |
| 12.76 | 324 | 1 0 1 |
| 20.90 | 233 | 1 1 2 |
| 24.56 | 288 | 2 1 1 |
| 25.67 | 505 | 2 0 2 |
| 29.73 | 810 | 2 2 0 |
| 32.47 | 139 | 2 1 3 |
| 38.93 | 712 | 1 0 5 |
| 42.54 | 1000 | 4 0 0 |
| 52.76 | 145 | 4 0 4 |
| 54.49 | 128 | 3 2 5 |
| 59.02 | 146 | 4 1 5 |
| 77.89 | 124 | 6 2 4 |

Structural model:
```
data_Dy4TeRh2
_chemical_formula_sum 'Dy16 Te4 Rh8'
_space_group_name_H-M_alt 'I 41/a m d'
_space_group_IT_number 141
_cell_length_a 8.494
_cell_length_b 8.494
_cell_length_c 12.038
_cell_angle_alpha 90.00
_cell_angle_beta 90.00
_cell_angle_gamma 90.00
loop_
_space_group_symop_operation_xyz
'x,y,z'
'-x,-y,-z'
'-y+1/4,x+3/4,z+1/4'
'y+1/4,-x+3/4,-z+1/4'
'-x+1/2,-y,z+1/2'
'x+1/2,y,-z+1/2'
'y+1/4,-x+1/4,z+3/4'
'-y+1/4,x+1/4,-z+3/4'
'x,-y,-z'
'-x,y,z'
'-y+1/4,-x+1/4,-z+3/4'
'y+1/4,x+1/4,z+3/4'
'-x+1/2,y,-z+1/2'
'x+1/2,-y,z+1/2'
'y+1/4,x+3/4,-z+1/4'
'-y+1/4,-x+3/4,z+1/4'
'x+1/2,y+1/2,z+1/2'
'-x+1/2,-y+1/2,-z+1/2'
'-y+3/4,x+1/4,z+3/4'
'y+3/4,-x+1/4,-z+3/4'
'-x,-y+1/2,z'
'x,y+1/2,-z'
'y+3/4,-x+3/4,z+1/4'
'-y+3/4,x+3/4,-z+1/4'
'x+1/2,-y+1/2,-z+1/2'
'-x+1/2,y+1/2,z+1/2'
'-y+3/4,-x+3/4,-z+1/4'
'y+3/4,x+3/4,z+1/4'
'-x,y+1/2,-z'
'x,-y+1/2,z'
'y+3/4,x+1/4,-z+3/4'
'-y+3/4,-x+1/4,z+3/4'
loop_
_atom_site_label
_atom_site_type_symbol
_atom_site_fract_x
_atom_site_fract_y
_atom_site_fract_z
Dy1 Dy 0.000 0.038 0.269
Te1 Te 0.000 0.250 0.875
Rh1 Rh 0.000 0.000 0.500
```

---

No. 2
For Dy4Te2Rh, a crystal structure in Alexandria, relaxed with PBE gives the simulated XRD peak list in this record (a wavelength of 1.5418 Å).
Lines closer than 0.1° are merged.

Peak list (12 most intense, 10 to 80 degrees two-theta, low angle first)
| 2theta | I/Imax | hkl |
| --- | --- | --- |
| 13.30 | 303 | 1 1 0 |
| 24.95 | 268 | 1 1 1 |
| 25.53 | 237 | 0 2 1 |
| 27.95 | 316 | 1 2 1 |
| 31.05 | 816 | 1 4 0 |
| 31.84 | 1000 | 2 1 1 |
| 32.38 | 385 | 1 3 1 |
| 34.29 | 565 | 2 2 1 |
| 42.80 | 476 | 0 0 2 |
| 43.93 | 321 | 1 5 1 |
| 50.60 | 263 | 1 6 1 |
| 53.81 | 327 | 1 4 2 |

Structural model:
```
data_Dy4Te2Rh
_chemical_formula_sum 'Dy8 Te4 Rh2'
_space_group_name_H-M_alt 'P b a m'
_space_group_IT_number 55
_cell_length_a 7.901
_cell_length_b 12.370
_cell_length_c 4.226
_cell_angle_alpha 90.00
_cell_angle_beta 90.00
_cell_angle_gamma 90.00
loop_
_space_group_symop_operation_xyz
'x,y,z'
'-x,-y,-z'
'-x,-y,z'
'x,y,-z'
'x+1/2,-y+1/2,-z'
'-x+1/2,y+1/2,z'
'-x+1/2,y+1/2,-z'
'x+1/2,-y+1/2,z'
loop_
_atom_site_label
_atom_site_type_symbol
_atom_site_fract_x
_atom_site_fract_y
_atom_site_fract_z
Dy1 Dy 0.139 0.199 0.000
Dy2 Dy 0.204 0.945 0.500
Te1 Te 0.070 0.667 0.500
Rh1 Rh 0.000 0.000 0.000
```

---

What did the first record say?
For Dy4TeRh2, a crystal structure in Alexandria, relaxed with PBE gives the simulated XRD peak list in this record (a wavelength of 1.5418 Å).
Lines closer than 0.1° are merged.

Peak list (12 most intense, 10 to 80 degrees two-theta, low angle first)
| 2theta | I/Imax | hkl |
| --- | --- | --- |
| 12.76 | 324 | 1 0 1 |
| 20.90 | 233 | 1 1 2 |
| 24.56 | 288 | 2 1 1 |
| 25.67 | 505 | 2 0 2 |
| 29.73 | 810 | 2 2 0 |
| 32.47 | 139 | 2 1 3 |
| 38.93 | 712 | 1 0 5 |
| 42.54 | 1000 | 4 0 0 |
| 52.76 | 145 | 4 0 4 |
| 54.49 | 128 | 3 2 5 |
| 59.02 | 146 | 4 1 5 |
| 77.89 | 124 | 6 2 4 |

Structural model:
```
data_Dy4TeRh2
_chemical_formula_sum 'Dy16 Te4 Rh8'
_space_group_name_H-M_alt 'I 41/a m d'
_space_group_IT_number 141
_cell_length_a 8.494
_cell_length_b 8.494
_cell_length_c 12.038
_cell_angle_alpha 90.00
_cell_angle_beta 90.00
_cell_angle_gamma 90.00
loop_
_space_group_symop_operation_xyz
'x,y,z'
'-x,-y,-z'
'-y+1/4,x+3/4,z+1/4'
'y+1/4,-x+3/4,-z+1/4'
'-x+1/2,-y,z+1/2'
'x+1/2,y,-z+1/2'
'y+1/4,-x+1/4,z+3/4'
'-y+1/4,x+1/4,-z+3/4'
'x,-y,-z'
'-x,y,z'
'-y+1/4,-x+1/4,-z+3/4'
'y+1/4,x+1/4,z+3/4'
'-x+1/2,y,-z+1/2'
'x+1/2,-y,z+1/2'
'y+1/4,x+3/4,-z+1/4'
'-y+1/4,-x+3/4,z+1/4'
'x+1/2,y+1/2,z+1/2'
'-x+1/2,-y+1/2,-z+1/2'
'-y+3/4,x+1/4,z+3/4'
'y+3/4,-x+1/4,-z+3/4'
'-x,-y+1/2,z'
'x,y+1/2,-z'
'y+3/4,-x+3/4,z+1/4'
'-y+3/4,x+3/4,-z+1/4'
'x+1/2,-y+1/2,-z+1/2'
'-x+1/2,y+1/2,z+1/2'
'-y+3/4,-x+3/4,-z+1/4'
'y+3/4,x+3/4,z+1/4'
'-x,y+1/2,-z'
'x,-y+1/2,z'
'y+3/4,x+1/4,-z+3/4'
'-y+3/4,-x+1/4,z+3/4'
loop_
_atom_site_label
_atom_site_type_symbol
_atom_site_fract_x
_atom_site_fract_y
_atom_site_fract_z
Dy1 Dy 0.000 0.038 0.269
Te1 Te 0.000 0.250 0.875
Rh1 Rh 0.000 0.000 0.500
```

---

Repeat the second record exactly.
For Dy4Te2Rh, a crystal structure in Alexandria, relaxed with PBE gives the simulated XRD peak list in this record (a wavelength of 1.5418 Å).
Lines closer than 0.1° are merged.

Peak list (12 most intense, 10 to 80 degrees two-theta, low angle first)
| 2theta | I/Imax | hkl |
| --- | --- | --- |
| 13.30 | 303 | 1 1 0 |
| 24.95 | 268 | 1 1 1 |
| 25.53 | 237 | 0 2 1 |
| 27.95 | 316 | 1 2 1 |
| 31.05 | 816 | 1 4 0 |
| 31.84 | 1000 | 2 1 1 |
| 32.38 | 385 | 1 3 1 |
| 34.29 | 565 | 2 2 1 |
| 42.80 | 476 | 0 0 2 |
| 43.93 | 321 | 1 5 1 |
| 50.60 | 263 | 1 6 1 |
| 53.81 | 327 | 1 4 2 |

Structural model:
```
data_Dy4Te2Rh
_chemical_formula_sum 'Dy8 Te4 Rh2'
_space_group_name_H-M_alt 'P b a m'
_space_group_IT_number 55
_cell_length_a 7.901
_cell_length_b 12.370
_cell_length_c 4.226
_cell_angle_alpha 90.00
_cell_angle_beta 90.00
_cell_angle_gamma 90.00
loop_
_space_group_symop_operation_xyz
'x,y,z'
'-x,-y,-z'
'-x,-y,z'
'x,y,-z'
'x+1/2,-y+1/2,-z'
'-x+1/2,y+1/2,z'
'-x+1/2,y+1/2,-z'
'x+1/2,-y+1/2,z'
loop_
_atom_site_label
_atom_site_type_symbol
_atom_site_fract_x
_atom_site_fract_y
_atom_site_fract_z
Dy1 Dy 0.139 0.199 0.000
Dy2 Dy 0.204 0.945 0.500
Te1 Te 0.070 0.667 0.500
Rh1 Rh 0.000 0.000 0.000
```